This entry pairs a crystal structure of Na3LaMn3As3O15 with its theoretical XRD peak list. Radiation: Cu Ka. Structure: a GGA+U-relaxed structure.

Main lines, by intensity (5° ≤ 2θ ≤ 70°):
| two_theta | d_spacing | intensity | h k l |
| --- | --- | --- | --- |
| 8.98 | 9.847 | 100 | 1 0 0 |
| 23.10 | 3.850 | 94 | 2 0 1 |
| 34.27 | 2.617 | 49 | 2 0 2 |
| 31.47 | 2.843 | 44 | 2 2 0 |
| 27.99 | 3.188 | 25 | 1 2 1 |
| 30.85 | 2.899 | 23 | 3 0 1 |
| 47.21 | 1.925 | 19 | 4 0 2 |
| 32.79 | 2.731 | 18 | 1 3 0 |
| 57.84 | 1.594 | 14 | 2 4 2 |
| 53.92 | 1.700 | 13 | 5 1 1 |
| 28.90 | 3.089 | 13 | 0 0 2 |
| 57.01 | 1.615 | 13 | 3 3 2 |

Crystal structure
abc: 11.371 11.371 6.178
angles: 90.00 90.00 120.00
Fractional coordinates of all 50 atoms:
Na 0.103 0.843 0.250
Na 0.157 0.261 0.250
Na 0.261 0.103 0.750
Na 0.739 0.897 0.250
Na 0.843 0.739 0.750
Na 0.897 0.157 0.750
La 0.333 0.667 0.250
La 0.667 0.333 0.750
Mn 0.000 0.500 0.000
Mn 0.000 0.500 0.500
Mn 0.500 0.000 0.000
Mn 0.500 0.000 0.500
Mn 0.500 0.500 0.000
Mn 0.500 0.500 0.500
As 0.184 0.785 0.750
As 0.215 0.398 0.750
As 0.398 0.184 0.250
As 0.602 0.816 0.750
As 0.785 0.602 0.250
As 0.816 0.215 0.250
O 0.078 0.424 0.750
O 0.079 0.851 0.750
O 0.087 0.476 0.250
O 0.149 0.228 0.750
O 0.169 0.691 0.520
O 0.169 0.691 0.980
O 0.228 0.079 0.250
O 0.309 0.478 0.520
O 0.309 0.478 0.980
O 0.346 0.922 0.750
O 0.389 0.913 0.250
O 0.424 0.346 0.250
O 0.476 0.389 0.750
O 0.478 0.169 0.020
O 0.478 0.169 0.480
O 0.522 0.831 0.520
O 0.522 0.831 0.980
O 0.524 0.611 0.250
O 0.576 0.654 0.750
O 0.611 0.087 0.750
O 0.654 0.078 0.250
O 0.691 0.522 0.020
O 0.691 0.522 0.480
O 0.772 0.921 0.750
O 0.831 0.309 0.020
O 0.831 0.309 0.480
O 0.851 0.772 0.250
O 0.913 0.524 0.750
O 0.921 0.149 0.250
O 0.922 0.576 0.250